Simulated PXRD pattern of U2Ti for λ = 1.5418 Å (Cu Kα), from a cell relaxed with PBE.

Structure:
```
U2Ti
1.0
4.789 0.000 0.000
-2.394 4.147 0.000
0.000 0.000 2.802
U Ti
2 1
direct
0.333 0.667 0.000
0.667 0.333 0.000
0.000 0.000 0.500
```

Principal peaks in the range 15° ≤ 2θ ≤ 90°, in order of rising 2θ:
2theta	d/Å	Rel. int.
21.4	4.147	50
31.9	2.802	34
37.6	2.394	100
38.8	2.322	55
50.1	1.820	60
79.2	1.209	25


Simulated PXRD pattern of UTi for λ = 1.5418 Å (Cu Kα), from a cell relaxed with PBE.

Structure:
```
UTi
1.0
1.507 -2.466 0.000
1.507 2.466 0.000
0.000 0.000 5.045
U Ti
1 1
direct
0.000 0.000 0.000
0.500 0.500 0.500
```

Principal peaks in the range 15° ≤ 2θ ≤ 90°, in order of rising 2θ:
2theta	d/Å	Rel. int.
17.6	5.045	74
34.9	2.572	30
35.6	2.522	33
36.4	2.466	31
39.3	2.291	100
67.5	1.388	26


Simulated PXRD pattern of UTi for λ = 1.5418 Å (Cu Kα), from a cell relaxed with PBE.

Structure:
```
UTi
1.0
2.948 0.000 0.000
-1.474 2.553 0.000
0.000 0.000 5.103
U Ti
1 1
direct
0.000 0.000 0.000
0.333 0.667 0.500
```

Principal peaks in the range 15° ≤ 2θ ≤ 90°, in order of rising 2θ:
2theta	d/Å	Rel. int.
17.4	5.103	60
35.2	2.552	72
39.5	2.283	100
50.6	1.805	34
66.0	1.416	35
74.3	1.276	28


Simulated PXRD pattern of U3Ti for λ = 1.5418 Å (Cu Kα), from a cell relaxed with PBE.

Structure:
```
U3Ti
1.0
5.890 0.000 0.000
-2.945 5.101 0.000
0.000 0.000 5.338
U Ti
6 2
direct
0.178 0.356 0.250
0.178 0.822 0.250
0.356 0.178 0.750
0.644 0.822 0.250
0.822 0.178 0.750
0.822 0.644 0.750
0.333 0.667 0.750
0.667 0.333 0.250
```

Principal peaks in the range 15° ≤ 2θ ≤ 90°, in order of rising 2θ:
2theta	d/Å	Rel. int.
24.1	3.688	31
33.6	2.669	35
35.2	2.550	22
39.1	2.301	100
63.8	1.459	25
73.4	1.289	21